# 1
Theoretical PXRD pattern
Compound: Pr2HgAu5
Radiation: λ = 1.5418 Å (Cu Kα)
Structure: the PBE geometry in OQMD
Neutral-atom scattering factors, no anomalous dispersion.

Atomic structure:
a = 4.829 Å, b = 6.657 Å, c = 11.302 Å
α = 90.00°, β = 90.00°, γ = 90.00°
Space group Amm2 (No. 38)
One atom of each set of equivalent atoms:
Pr 0.000 0.000 0.000 [2 per cell]
Pr 0.500 0.000 0.323 [2 per cell]
Hg 0.000 0.000 0.511 [2 per cell]
Au 0.000 0.231 0.746 [4 per cell]
Au 0.500 0.000 0.819 [2 per cell]
Au 0.500 0.233 0.588 [4 per cell]

Peak list (10 most intense, 2θ = 10–90°, low angle first)
| hkl | 2θ (°) | I (rel.) |
| --- | --- | --- |
| 0 2 2 | 31.2 | 22 |
| 0 0 4 | 31.7 | 14 |
| 1 2 2 | 36.4 | 100 |
| 1 0 4 | 36.9 | 44 |
| 2 0 0 | 37.2 | 32 |
| 2 2 2 | 49.3 | 13 |
| 0 2 6 | 56.1 | 17 |
| 3 2 2 | 66.6 | 18 |
| 1 4 4 | 68.2 | 13 |
| 2 2 6 | 69.3 | 26 |


# 2
Theoretical PXRD pattern
Compound: InIr17
Radiation: λ = 1.5418 Å (Cu Kα)
Structure: the PBE geometry in OQMD
Neutral-atom scattering factors, no anomalous dispersion.

Atomic structure:
a = 5.4566 Å, b = 5.4566 Å, c = 33.2853 Å
α = 90.00°, β = 90.00°, γ = 120.00°
Space group P-3m1 (No. 164)
One atom of each set of equivalent atoms:
In 0.3333 0.6667 0.2892 [2 per cell]
Ir 0.0000 0.0000 0.0000 [1 per cell]
Ir 0.0000 0.0000 0.2028 [2 per cell]
Ir 0.0000 0.5000 0.0000 [3 per cell]
Ir 0.0021 0.5011 0.2018 [6 per cell]
Ir 0.1664 0.3327 0.7328 [6 per cell]
Ir 0.1667 0.3334 0.1347 [6 per cell]
Ir 0.1670 0.3339 0.9326 [6 per cell]
Ir 0.3333 0.6667 0.0672 [2 per cell]
Ir 0.3333 0.6667 0.8656 [2 per cell]

Peak list (10 most intense, 2θ = 10–90°, low angle first)
| hkl | 2θ (°) | I (rel.) |
| --- | --- | --- |
| 0 0 14 | 37.8 | 16 |
| 2 0 4 | 39.7 | 35 |
| 2 0 5 | 40.5 | 100 |
| 0 0 15 | 40.7 | 30 |
| 2 0 6 | 41.5 | 22 |
| 0 2 9 | 45.6 | 27 |
| 0 2 10 | 47.2 | 62 |
| 2 2 0 | 68.8 | 33 |
| 2 0 20 | 69.0 | 19 |
| 0 4 5 | 83.1 | 36 |


# 3
Theoretical PXRD pattern
Compound: BaAgOF
Radiation: λ = 1.5418 Å (Cu Kα)
Structure: the PBE geometry in OQMD
Neutral-atom scattering factors, no anomalous dispersion.

Atomic structure:
a = 3.920 Å, b = 3.920 Å, c = 9.029 Å
α = 90.00°, β = 90.00°, γ = 90.00°
Space group P4/nmm (No. 129, origin choice 2)
One atom of each set of equivalent atoms:
Ba 0.250 0.250 0.188 [2 per cell]
Ag 0.250 0.750 0.500 [2 per cell]
O 0.250 0.250 0.675 [2 per cell]
F 0.250 0.750 0.000 [2 per cell]

Peak list (10 most intense, 2θ = 10–90°, low angle first)
| hkl | 2θ (°) | I (rel.) |
| --- | --- | --- |
| 1 0 1 | 24.8 | 63 |
| 0 0 3 | 29.7 | 34 |
| 1 0 2 | 30.2 | 39 |
| 1 1 1 | 33.8 | 46 |
| 1 1 2 | 38.1 | 100 |
| 2 0 0 | 46.4 | 61 |
| 2 0 3 | 56.0 | 24 |
| 1 1 5 | 61.3 | 21 |
| 2 2 0 | 67.6 | 26 |
| 3 1 2 | 80.3 | 21 |


# 4
Theoretical PXRD pattern
Compound: Ta4Co4Si7
Radiation: λ = 1.5418 Å (Cu Kα)
Structure: the PBE geometry in OQMD
Neutral-atom scattering factors, no anomalous dispersion.

Atomic structure:
a = 12.520 Å, b = 12.520 Å, c = 4.970 Å
α = 90.00°, β = 90.00°, γ = 90.00°
Space group I4/mmm (No. 139)
One atom of each set of equivalent atoms:
Ta 0.000 0.190 0.000 [8 per cell]
Ta 0.134 0.134 0.500 [8 per cell]
Co 0.149 0.351 0.250 [16 per cell]
Si 0.000 0.000 0.251 [4 per cell]
Si 0.000 0.297 0.500 [8 per cell]
Si 0.000 0.406 0.000 [8 per cell]
Si 0.209 0.209 0.000 [8 per cell]

Peak list (10 most intense, 2θ = 10–90°, low angle first)
| hkl | 2θ (°) | I (rel.) |
| --- | --- | --- |
| 3 0 1 | 27.9 | 18 |
| 3 2 1 | 31.4 | 31 |
| 4 1 1 | 34.6 | 25 |
| 0 0 2 | 36.1 | 14 |
| 5 0 1 | 40.3 | 100 |
| 4 4 0 | 40.8 | 17 |
| 3 1 2 | 43.0 | 41 |
| 6 0 0 | 43.4 | 20 |
| 5 0 3 | 67.8 | 22 |
| 7 3 2 | 68.4 | 20 |


# 5
Theoretical PXRD pattern
Compound: Er2NiB4Ir4
Radiation: λ = 1.5418 Å (Cu Kα)
Structure: the PBE geometry in OQMD
Neutral-atom scattering factors, no anomalous dispersion.

Atomic structure:
a = 5.483 Å, b = 9.313 Å, c = 11.375 Å
α = 90.00°, β = 90.00°, γ = 90.00°
Space group Fmmm (No. 69)
One atom of each set of equivalent atoms:
Er 0.000 0.000 0.139 [8 per cell]
Ni 0.000 0.000 0.500 [4 per cell]
B 0.000 0.145 0.367 [16 per cell]
Ir 0.250 0.250 0.000 [8 per cell]
Ir 0.250 0.250 0.250 [8 per cell]

Peak list (10 most intense, 2θ = 10–90°, low angle first)
| hkl | 2θ (°) | I (rel.) |
| --- | --- | --- |
| 0 2 0 | 19.1 | 29 |
| 1 1 3 | 30.2 | 32 |
| 0 2 4 | 37.0 | 81 |
| 2 2 0 | 38.1 | 100 |
| 0 4 0 | 38.7 | 46 |
| 2 0 4 | 46.0 | 48 |
| 2 2 4 | 50.2 | 19 |
| 2 4 4 | 61.6 | 37 |
| 2 6 0 | 69.6 | 18 |
| 2 2 8 | 78.5 | 21 |


# 6
Theoretical PXRD pattern
Compound: DyTm2In3CuAu2
Radiation: λ = 1.5418 Å (Cu Kα)
Structure: the PBE geometry in OQMD
Neutral-atom scattering factors, no anomalous dispersion.

Atomic structure:
a = 3.829 Å, b = 13.443 Å, c = 7.732 Å
α = 90.00°, β = 90.00°, γ = 90.00°
Space group Amm2 (No. 38)
One atom of each set of equivalent atoms:
Dy 0.000 0.000 0.000 [2 per cell]
Tm 0.000 0.201 0.603 [4 per cell]
In 0.500 0.000 0.655 [2 per cell]
In 0.500 0.126 0.277 [4 per cell]
Cu 0.000 0.000 0.404 [2 per cell]
Au 0.500 0.168 0.902 [4 per cell]

Peak list (10 most intense, 2θ = 10–90°, low angle first)
| hkl | 2θ (°) | I (rel.) |
| --- | --- | --- |
| 1 0 2 | 32.9 | 100 |
| 0 5 1 | 35.4 | 30 |
| 1 4 0 | 35.5 | 36 |
| 1 2 2 | 35.6 | 47 |
| 0 3 3 | 40.4 | 26 |
| 1 5 1 | 42.7 | 15 |
| 2 0 0 | 47.5 | 20 |
| 2 5 1 | 60.6 | 19 |
| 2 6 0 | 64.0 | 20 |
| 1 8 2 | 65.3 | 17 |


# 7
Theoretical PXRD pattern
Compound: Pr3Cl2
Radiation: λ = 1.5418 Å (Cu Kα)
Structure: the PBE geometry in OQMD
Neutral-atom scattering factors, no anomalous dispersion.

Atomic structure:
a = 7.1798 Å, b = 7.1798 Å, c = 19.3176 Å
α = 90.00°, β = 90.00°, γ = 120.00°
Space group R-3c (No. 167, hexagonal axes)
One atom of each set of equivalent atoms:
Pr 0.0000 0.3397 0.2500 [18 per cell]
Cl 0.0000 0.0000 0.1653 [12 per cell]

Peak list (10 most intense, 2θ = 10–90°, low angle first)
| hkl | 2θ (°) | I (rel.) |
| --- | --- | --- |
| 1 1 0 | 24.8 | 10 |
| 0 0 6 | 27.7 | 16 |
| 1 1 3 | 28.5 | 100 |
| 1 1 6 | 37.5 | 28 |
| 3 0 0 | 43.7 | 28 |
| 1 1 9 | 49.5 | 22 |
| 3 0 6 | 52.5 | 17 |
| 2 2 3 | 53.0 | 18 |
| 4 1 3 | 71.0 | 14 |
| 3 0 12 | 74.7 | 11 |


# 8
Theoretical PXRD pattern
Compound: Nd7Pt3
Radiation: λ = 1.5418 Å (Cu Kα)
Structure: the PBE geometry in OQMD
Neutral-atom scattering factors, no anomalous dispersion.

Atomic structure:
a = 10.1790 Å, b = 10.1790 Å, c = 6.4263 Å
α = 90.00°, β = 90.00°, γ = 120.00°
Space group P6_3mc (No. 186)
One atom of each set of equivalent atoms:
Nd 0.0747 0.5373 0.0000 [6 per cell]
Nd 0.1264 0.2527 0.2989 [6 per cell]
Nd 0.3333 0.6667 0.5078 [2 per cell]
Pt 0.1893 0.3786 0.7457 [6 per cell]

Peak list (10 most intense, 2θ = 10–90°, low angle first)
| hkl | 2θ (°) | I (rel.) |
| --- | --- | --- |
| 1 0 1 | 17.1 | 31 |
| 1 0 2 | 29.6 | 49 |
| 2 1 1 | 30.2 | 100 |
| 3 0 0 | 30.4 | 30 |
| 3 0 1 | 33.5 | 94 |
| 2 0 2 | 34.5 | 84 |
| 2 2 0 | 35.3 | 80 |
| 2 1 2 | 38.9 | 32 |
| 2 0 3 | 47.1 | 47 |
| 3 0 3 | 52.9 | 34 |


# 9
Theoretical PXRD pattern
Compound: ZrInCuTe2S
Radiation: λ = 1.5418 Å (Cu Kα)
Structure: the PBE geometry in OQMD
Neutral-atom scattering factors, no anomalous dispersion.

Atomic structure:
a = 3.931 Å, b = 15.044 Å, c = 10.085 Å
α = 90.00°, β = 90.00°, γ = 90.00°
Space group Cmcm (No. 63)
One atom of each set of equivalent atoms:
Zr 0.000 0.000 0.000 [4 per cell]
In 0.000 0.276 0.250 [4 per cell]
Cu 0.000 0.474 0.750 [4 per cell]
Te 0.000 0.360 0.554 [8 per cell]
S 0.000 0.058 0.750 [4 per cell]

Peak list (10 most intense, 2θ = 10–90°, low angle first)
| hkl | 2θ (°) | I (rel.) |
| --- | --- | --- |
| 1 3 0 | 28.9 | 92 |
| 0 2 3 | 29.1 | 53 |
| 0 4 2 | 29.6 | 47 |
| 1 3 1 | 30.2 | 67 |
| 1 3 2 | 34.0 | 74 |
| 0 0 4 | 35.6 | 100 |
| 1 5 2 | 41.8 | 55 |
| 2 0 0 | 46.2 | 38 |
| 0 2 5 | 46.6 | 29 |
| 1 3 5 | 54.3 | 23 |


# 10
Theoretical PXRD pattern
Compound: LuGaFeCo
Radiation: λ = 1.5418 Å (Cu Kα)
Structure: the PBE geometry in OQMD
Neutral-atom scattering factors, no anomalous dispersion.

Atomic structure:
a = 6.315 Å, b = 6.315 Å, c = 6.315 Å
α = 90.00°, β = 90.00°, γ = 90.00°
Space group F-43m (No. 216)
One atom of each set of equivalent atoms:
Lu 0.000 0.000 0.000 [4 per cell]
Ga 0.250 0.250 0.250 [4 per cell]
Fe 0.000 0.000 0.500 [4 per cell]
Co 0.250 0.250 0.750 [4 per cell]

Peak list (10 most intense, 2θ = 10–90°, low angle first)
| hkl | 2θ (°) | I (rel.) |
| --- | --- | --- |
| 1 1 1 | 24.4 | 24 |
| 2 0 0 | 28.3 | 9 |
| 2 2 0 | 40.4 | 100 |
| 3 1 1 | 47.8 | 13 |
| 4 0 0 | 58.5 | 16 |
| 3 3 1 | 64.3 | 5 |
| 4 2 0 | 66.2 | 3 |
| 4 2 2 | 73.5 | 33 |
| 5 1 1 | 78.7 | 4 |
| 4 4 0 | 87.4 | 10 |


# 11
Theoretical PXRD pattern
Compound: Dy2ErSe3
Radiation: λ = 1.5418 Å (Cu Kα)
Structure: the PBE geometry in OQMD
Neutral-atom scattering factors, no anomalous dispersion.

Atomic structure:
a = 4.0425 Å, b = 4.0425 Å, c = 9.9639 Å
α = 90.00°, β = 90.00°, γ = 120.00°
Space group P-3m1 (No. 164)
One atom of each set of equivalent atoms:
Dy 0.3333 0.6667 0.1668 [2 per cell]
Er 0.0000 0.0000 0.5000 [1 per cell]
Se 0.0000 0.0000 0.0000 [1 per cell]
Se 0.3333 0.6667 0.6636 [2 per cell]

Peak list (10 most intense, 2θ = 10–90°, low angle first)
| hkl | 2θ (°) | I (rel.) |
| --- | --- | --- |
| 1 0 1 | 27.0 | 16 |
| 0 1 2 | 31.2 | 100 |
| 1 0 4 | 44.6 | 37 |
| 1 1 0 | 44.8 | 37 |
| 1 1 3 | 53.1 | 8 |
| 2 0 2 | 55.7 | 19 |
| 0 2 4 | 65.1 | 12 |
| 1 1 6 | 73.9 | 17 |
| 1 2 2 | 74.1 | 17 |
| 2 1 4 | 82.6 | 13 |


# 12
Theoretical PXRD pattern
Compound: Er2TmMg3Pt3
Radiation: λ = 1.5418 Å (Cu Kα)
Structure: the PBE geometry in OQMD
Neutral-atom scattering factors, no anomalous dispersion.

Atomic structure:
a = 4.063 Å, b = 12.627 Å, c = 7.295 Å
α = 90.00°, β = 90.00°, γ = 90.00°
Space group Amm2 (No. 38)
One atom of each set of equivalent atoms:
Er 0.000 0.205 0.000 [4 per cell]
Tm 0.000 0.000 0.613 [2 per cell]
Mg 0.500 0.000 0.958 [2 per cell]
Mg 0.500 0.123 0.328 [4 per cell]
Pt 0.000 0.000 0.205 [2 per cell]
Pt 0.500 0.166 0.704 [4 per cell]

Peak list (10 most intense, 2θ = 10–90°, low angle first)
| hkl | 2θ (°) | I (rel.) |
| --- | --- | --- |
| 0 0 2 | 24.4 | 51 |
| 1 2 0 | 26.1 | 26 |
| 1 3 1 | 33.0 | 72 |
| 1 4 0 | 36.0 | 100 |
| 0 6 0 | 43.0 | 40 |
| 1 4 2 | 44.0 | 37 |
| 2 0 0 | 44.6 | 24 |
| 1 7 1 | 57.3 | 17 |
| 2 6 0 | 63.7 | 25 |
| 1 7 3 | 68.8 | 27 |


# 13
Theoretical PXRD pattern
Compound: Mo4PAuN2
Radiation: λ = 1.5418 Å (Cu Kα)
Structure: the PBE geometry in OQMD
Neutral-atom scattering factors, no anomalous dispersion.

Atomic structure:
a = 2.9493 Å, b = 2.9493 Å, c = 13.7467 Å
α = 90.00°, β = 90.00°, γ = 120.00°
Space group P-6m2 (No. 187)
One atom of each set of equivalent atoms:
Mo 0.0000 0.0000 0.1309 [2 per cell]
Mo 0.6667 0.3333 0.3258 [2 per cell]
P 0.6667 0.3333 0.0000 [1 per cell]
Au 0.0000 0.0000 0.5000 [1 per cell]
N 0.3333 0.6667 0.2328 [2 per cell]

Peak list (10 most intense, 2θ = 10–90°, low angle first)
| hkl | 2θ (°) | I (rel.) |
| --- | --- | --- |
| 0 0 5 | 32.6 | 19 |
| 1 0 0 | 35.1 | 30 |
| 1 0 2 | 37.6 | 29 |
| 0 0 6 | 39.3 | 14 |
| 1 0 3 | 40.4 | 100 |
| 1 0 5 | 48.7 | 19 |
| 1 1 0 | 63.0 | 21 |
| 1 0 8 | 65.5 | 20 |
| 1 1 6 | 76.9 | 12 |
| 2 0 3 | 77.6 | 15 |